The following is a computed X-ray diffraction stick pattern of TiBeBiPb2. It was derived from a crystal structure in Alexandria, relaxed with GGA-PBE, using Cu Kα, 1.54184 Å.
No peak broadening, texture or thermal motion is included.

Cell and atoms:
Cell: 5.4630 5.4630 4.7501 Å, 90.00 90.00 90.00°
Element x y z (fractional)
Ti1 0.0000 0.0000 0.0000
Be1 0.0000 0.0000 0.5000
Bi1 0.5000 0.5000 0.5000
Pb1 0.0000 0.5000 0.0000
Pb2 0.5000 0.0000 0.0000

Principal peaks in the range 15° ≤ 2θ ≤ 90°, in order of falling intensity:
two_theta	I/Imax
29.81	100
32.79	53
50.96	36
56.70	35
24.84	29
47.05	20
37.88	18
61.92	18
41.57	15
18.68	14